Starting from a crystal structure in OQMD, relaxed with GGA-PBE, the powder diffractogram of SnIr7 was computed for Cu Kα.
No peak broadening, texture or thermal motion is included.

Unit cell a=2.7802 b=2.7802 c=43.5891 alpha=90.00 beta=90.00 gamma=90.00
Element x y z (fractional)
Sn: 0.2500 0.2500 0.1653
Sn: 0.7500 0.7500 0.8347
Ir: 0.2500 0.2500 0.2587
Ir: 0.2500 0.2500 0.3462
Ir: 0.2500 0.2500 0.4340
Ir: 0.2500 0.2500 0.5221
Ir: 0.2500 0.2500 0.6097
Ir: 0.2500 0.2500 0.6978
Ir: 0.2500 0.2500 0.7852
Ir: 0.7500 0.7500 0.2148
Ir: 0.7500 0.7500 0.3022
Ir: 0.7500 0.7500 0.3903
Ir: 0.7500 0.7500 0.4779
Ir: 0.7500 0.7500 0.5660
Ir: 0.7500 0.7500 0.6538
Ir: 0.7500 0.7500 0.7413

Largest 12 diffraction maxima, by angle, 2θ = 10–80°:
(0 0 5), 2θ = 10.15°, 8.718 Å, intensity 29
(1 0 8), 2θ = 36.28°, 2.476 Å, intensity 20
(1 0 9), 2θ = 37.29°, 2.411 Å, intensity 60
(1 0 11), 2θ = 39.60°, 2.276 Å, intensity 1000
(1 0 12), 2θ = 40.88°, 2.208 Å, intensity 558
(0 0 22), 2θ = 45.80°, 1.981 Å, intensity 89
(1 1 0), 2θ = 46.19°, 1.965 Å, intensity 520
(1 1 2), 2θ = 46.37°, 1.958 Å, intensity 31
(0 0 23), 2θ = 48.01°, 1.895 Å, intensity 147
(1 1 22), 2θ = 67.07°, 1.396 Å, intensity 119
(2 0 0), 2θ = 67.37°, 1.390 Å, intensity 171
(1 1 23), 2θ = 68.81°, 1.364 Å, intensity 203